Record 1
Na5LiSeO2: computed powder diffraction line list (Cu Kα (weighted mean of Kα1 and Kα2)), based on a structure optimized by DFT (GGA-PBE).
Intensities are scaled so that the largest is 100.

Structural model:
Cell: 4.5666 4.5666 8.5485 Å, 90.00 90.00 90.00°
Space group P4/mmm (No. 123)
Unique sites:
Na: 0.0000 0.0000 0.0000
Na: 0.0000 0.5000 0.2368
Li: 0.0000 0.0000 0.5000
Se: 0.5000 0.5000 0.0000
O: 0.0000 0.0000 0.2895

Principal peaks in the range 2θ from 10° to 90°, in order of rising 2θ:
2θ/deg  I_rel
10.35  100
22.07  36
28.61  25
29.57  24
34.82  72
39.47  46
42.30  43
59.22  21
68.59  22
73.52  20


Record 2
HfInAg: computed powder diffraction line list (Cu Kα (weighted mean of Kα1 and Kα2)), based on a structure optimized by DFT (GGA-PBE).
Intensities are scaled so that the largest is 100.

Structural model:
Cell: 13.0233 3.1762 6.1222 Å, 90.00 102.01 90.00°
Space group C2/m (No. 12)
Unique sites:
Hf: 0.0000 0.0000 0.0000
Hf: 0.0000 0.0000 0.5000
In: 0.1697 0.5000 0.3179
Ag: 0.1639 0.5000 0.8261

Principal peaks in the range 2θ from 10° to 90°, in order of rising 2θ:
2θ/deg  I_rel
35.29  100
35.69  48
36.67  44
40.95  65
42.58  29
59.89  21
61.22  19
70.07  13
70.68  13
74.64  16


Record 3
HoTh3Hg7: computed powder diffraction line list (Cu Kα (weighted mean of Kα1 and Kα2)), based on a structure optimized by DFT (GGA-PBE).
Intensities are scaled so that the largest is 100.

Structural model:
Cell: 3.5066 22.1238 15.2479 Å, 90.00 90.00 90.00°
Space group Cmcm (No. 63)
Unique sites:
Ho: 0.0000 0.0284 0.2500
Th: 0.0000 0.1153 0.5354
Th: 0.0000 0.2463 0.2500
Hg: 0.0000 0.2538 0.5765
Hg: 0.0000 0.3717 0.6532
Hg: 0.0000 0.3931 0.2500
Hg: 0.0000 0.4982 0.5931

Principal peaks in the range 2θ from 10° to 90°, in order of rising 2θ:
2θ/deg  I_rel
30.40  41
30.57  46
31.25  100
32.37  81
34.70  65
35.00  35
38.31  42
39.00  49
42.41  37
48.65  30


Record 4
Ag3SnSe4: computed powder diffraction line list (Cu Kα (weighted mean of Kα1 and Kα2)), based on a structure optimized by DFT (GGA-PBE).
Intensities are scaled so that the largest is 100.

Structural model:
Cell: 6.0632 6.0632 12.1954 Å, 90.00 90.00 90.00°
Space group I-42m (No. 121)
Unique sites:
Ag: 0.0000 0.0000 0.0000
Ag: 0.0000 0.5000 0.2500
Sn: 0.0000 0.0000 0.5000
Se: 0.2467 0.2467 0.3757

Principal peaks in the range 2θ from 10° to 90°, in order of rising 2θ:
2θ/deg  I_rel
25.40  100
42.03  50
42.15  25
49.64  16
49.86  31
61.14  8
67.11  12
76.71  8
76.97  16
82.68  7


Record 5
LiP3O9: computed powder diffraction line list (Cu Kα (weighted mean of Kα1 and Kα2)), based on a structure optimized by DFT (GGA-PBE).
Intensities are scaled so that the largest is 100.

Structural model:
Cell: 14.6202 6.6720 10.2810 Å, 90.00 133.90 90.00°
Space group Cc (No. 9)
Unique sites:
Li: 0.0000 0.2329 0.0000
P: 0.1706 0.3688 0.8049
P: 0.2575 0.0600 0.6935
P: 0.3661 0.3987 0.6548
O: 0.0466 0.3052 0.7457
O: 0.1394 0.4677 0.1781
O: 0.1436 0.0738 0.0557
O: 0.2409 0.1804 0.8113
O: 0.2589 0.2302 0.5857
O: 0.2724 0.4262 0.0112
O: 0.3778 0.0575 0.3193
O: 0.4201 0.4734 0.8360
O: 0.4509 0.3252 0.6343

Principal peaks in the range 2θ from 10° to 90°, in order of rising 2θ:
2θ/deg  I_rel
15.84  23
16.83  39
23.10  72
23.51  100
24.03  29
29.33  25
31.98  17
33.87  20
38.33  18
38.58  15


Record 6
Cu2GeAuS4: computed powder diffraction line list (Cu Kα (weighted mean of Kα1 and Kα2)), based on a structure optimized by DFT (GGA-PBE).
Intensities are scaled so that the largest is 100.

Structural model:
Cell: 5.4851 5.4851 10.4954 Å, 90.00 90.00 90.00°
Space group I-42m (No. 121)
Unique sites:
Cu: 0.0000 0.5000 0.2500
Ge: 0.0000 0.0000 0.0000
Au: 0.0000 0.0000 0.5000
S: 0.2337 0.2337 0.1321

Principal peaks in the range 2θ from 10° to 90°, in order of rising 2θ:
2θ/deg  I_rel
18.25  18
28.62  100
32.65  15
37.66  9
46.85  19
47.99  36
55.82  30
57.82  15
77.50  12
87.87  12


Record 7
Pm2Sc2In3: computed powder diffraction line list (Cu Kα (weighted mean of Kα1 and Kα2)), based on a structure optimized by DFT (GGA-PBE).
Intensities are scaled so that the largest is 100.

Structural model:
Cell: 4.6742 23.7970 3.2590 Å, 90.00 90.00 90.00°
Space group Cmmm (No. 65)
Unique sites:
Pm: 0.0000 0.0762 0.0000
Sc: 0.0000 0.2107 0.0000
In: 0.0000 0.3381 0.5000
In: 0.0000 0.5000 0.5000

Principal peaks in the range 2θ from 10° to 90°, in order of rising 2θ:
2θ/deg  I_rel
26.73  37
32.57  85
33.74  100
35.66  64
38.52  34
53.49  39
56.47  11
61.36  31
66.70  34
70.44  11


Record 8
ErBi3Pd12: computed powder diffraction line list (Cu Kα (weighted mean of Kα1 and Kα2)), based on a structure optimized by DFT (GGA-PBE).
Intensities are scaled so that the largest is 100.

Structural model:
Cell: 4.1321 4.1321 16.4931 Å, 90.00 90.00 90.00°
Space group P4/mmm (No. 123)
Unique sites:
Er: 0.0000 0.0000 0.0000
Bi: 0.0000 0.0000 0.2468
Bi: 0.0000 0.0000 0.5000
Pd: 0.0000 0.5000 0.1235
Pd: 0.0000 0.5000 0.3745
Pd: 0.5000 0.5000 0.0000
Pd: 0.5000 0.5000 0.2519
Pd: 0.5000 0.5000 0.5000

Principal peaks in the range 2θ from 10° to 90°, in order of rising 2θ:
2θ/deg  I_rel
21.52  8
30.62  7
37.73  100
43.85  49
49.35  4
54.43  3
63.75  32
76.47  25
76.61  12
80.59  11


Record 9
Dy3Th2Mg2: computed powder diffraction line list (Cu Kα (weighted mean of Kα1 and Kα2)), based on a structure optimized by DFT (GGA-PBE).
Intensities are scaled so that the largest is 100.

Structural model:
Cell: 5.3542 23.3539 3.4164 Å, 90.00 90.00 90.00°
Space group Cmmm (No. 65)
Unique sites:
Dy: 0.0000 0.0000 0.0000
Dy: 0.0000 0.1426 0.0000
Th: 0.0000 0.2822 0.5000
Mg: 0.0000 0.4313 0.5000

Principal peaks in the range 2θ from 10° to 90°, in order of rising 2θ:
2θ/deg  I_rel
16.99  24
27.20  33
31.29  54
31.60  100
33.17  25
33.47  43
34.94  25
36.66  27
53.64  32
63.61  27


Which formula does entry 6 have? Cu2GeAuS4